# 1
This entry pairs a crystal structure of ErScCN2O2 with its calculated XRD peak list. Radiation: Cu Ka. Structure: a crystal structure in OQMD, relaxed with PBE.
Intensities are scaled so that the largest is 100.

Most intense lines, 10° ≤ 2θ ≤ 80°, sorted by position:
2θ/deg	Rel. int.
11.0	100
22.2	24
29.0	30
31.2	95
33.6	16
36.8	44
45.0	31
51.5	25
54.7	23
62.9	15

Crystal structure
```
ErScCN2O2
1.0
3.5510 0.0000 0.0000
-1.7755 3.0753 0.0000
0.0000 0.0000 8.0098
Er Sc C N O
1 1 1 2 2
Cartesian
0.0000 0.0000 0.0000
0.0000 2.0502 2.8113
1.7755 1.0251 5.3870
1.7755 1.0251 4.1600
1.7755 1.0251 6.6256
0.0000 0.0000 2.3077
0.0000 2.0502 0.6754
```

# 2
This entry pairs a crystal structure of TbErCN2O2 with its calculated XRD peak list. Radiation: Cu Ka. Structure: a crystal structure in OQMD, relaxed with PBE.
Intensities are scaled so that the largest is 100.

Most intense lines, 10° ≤ 2θ ≤ 80°, sorted by position:
2θ/deg	Rel. int.
10.9	51
21.9	19
27.9	17
30.0	100
33.1	19
35.7	44
43.8	20
49.3	28
53.4	25
60.7	20

Crystal structure
```
TbErCN2O2
1.0
3.6954 0.0000 0.0000
-1.8477 3.2003 0.0000
0.0000 0.0000 8.1247
Tb Er C N O
1 1 1 2 2
Cartesian
0.0000 0.0000 0.0000
1.8477 1.0668 5.2479
0.0000 2.1335 2.6296
0.0000 2.1335 1.3958
0.0000 2.1335 3.8628
0.0000 0.0000 5.8210
1.8477 1.0668 7.4949
```

# 3
This entry pairs a crystal structure of YErCN2O2 with its calculated XRD peak list. Radiation: Cu Ka. Structure: a crystal structure in OQMD, relaxed with PBE.
Intensities are scaled so that the largest is 100.

Most intense lines, 10° ≤ 2θ ≤ 80°, sorted by position:
2θ/deg	Rel. int.
10.9	66
21.9	20
28.0	20
30.1	100
33.1	18
35.8	43
43.8	24
49.5	28
53.4	24
60.8	19

Crystal structure
```
YErCN2O2
1.0
3.6860 0.0000 0.0000
-1.8430 3.1922 0.0000
0.0000 0.0000 8.1293
Y Er C N O
1 1 1 2 2
Cartesian
0.0000 0.0000 0.0000
1.8430 1.0641 5.2497
0.0000 2.1281 2.6260
0.0000 2.1281 1.3916
0.0000 2.1281 3.8588
0.0000 0.0000 5.8207
1.8430 1.0641 7.5012
```